[1]
Starting from the GGA-PBE geometry in Alexandria, the X-ray diffraction stick pattern of PaSiP2Ru5 was computed for CuKα.
No peak broadening, texture or thermal motion is included.

Cell: 4.031 4.031 9.401 Å, 90.00 90.00 90.00°
Space group P4/mmm (No. 123)
One atom of each set of equivalent atoms:
Pa 0.000 0.000 0.000 [1 per cell]
Si 0.000 0.000 0.500 [1 per cell]
P 0.500 0.500 0.242 [2 per cell]
Ru 0.000 0.500 0.352 [4 per cell]
Ru 0.500 0.500 0.000 [1 per cell]

Most intense lines, 10° ≤ 2θ ≤ 80°, in order of rising 2θ:
2theta  I_rel
28.5  55
32.8  100
36.9  42
45.0  47
50.3  57
54.1  37

---

[2]
Starting from the GGA-PBE geometry in Alexandria, the X-ray diffraction stick pattern of TaNbW5 was computed for CuKα.
No peak broadening, texture or thermal motion is included.

Cell: 5.451 8.969 5.495 Å, 90.00 109.12 90.00°
Space group C2/m (No. 12)
One atom of each set of equivalent atoms:
Ta 0.000 0.000 0.000 [2 per cell]
Nb 0.000 0.500 0.500 [2 per cell]
W 0.000 0.500 0.000 [2 per cell]
W 0.243 0.244 0.747 [8 per cell]

Most intense lines, 10° ≤ 2θ ≤ 80°, in order of rising 2θ:
2theta  I_rel
19.8  13
40.2  100
40.4  98
58.4  22
73.0  23
73.2  23

---

[3]
Starting from the GGA-PBE geometry in Alexandria, the X-ray diffraction stick pattern of Dy2TlIn9 was computed for CuKα.
No peak broadening, texture or thermal motion is included.

Cell: 4.647 4.647 14.527 Å, 90.00 90.00 90.00°
Space group P4/mmm (No. 123)
One atom of each set of equivalent atoms:
Dy 0.000 0.000 0.158 [2 per cell]
Tl 0.000 0.000 0.500 [1 per cell]
In 0.000 0.500 0.000 [2 per cell]
In 0.000 0.500 0.323 [4 per cell]
In 0.500 0.500 0.162 [2 per cell]
In 0.500 0.500 0.500 [1 per cell]

Most intense lines, 10° ≤ 2θ ≤ 80°, in order of rising 2θ:
2theta  I_rel
32.9  100
37.1  17
38.8  33
54.8  22
64.3  12
66.5  25

---

Question: Which formula does entry 3 have?
Answer: Dy2TlIn9

---

Question: Which formula does entry 1 have?
Answer: PaSiP2Ru5